Simulated X-ray diffraction stick pattern of U2S3Cl for Cu Kα (weighted mean of Kα1 and Kα2), from a structure optimized by DFT (PBE).
No peak broadening, texture or thermal motion is included.

Crystal structure
```
data_U2S3Cl
_cell_length_a 6.5006
_cell_length_b 12.2342
_cell_length_c 4.0163
_cell_angle_alpha 90.00
_cell_angle_beta 90.00
_cell_angle_gamma 90.00
_space_group_name_H-M_alt 'P n n m'
_space_group_IT_number 58
loop_
_space_group_symop_operation_xyz
'x,y,z'
'-x,-y,-z'
'-x,-y,z'
'x,y,-z'
'x+1/2,-y+1/2,-z+1/2'
'-x+1/2,y+1/2,z+1/2'
'-x+1/2,y+1/2,-z+1/2'
'x+1/2,-y+1/2,z+1/2'
loop_
_atom_site_label
_atom_site_fract_x
_atom_site_fract_y
_atom_site_fract_z
_atom_site_occupancy
U1 0.1633 0.1313 0.0000 1
S1 0.0000 0.0000 0.5000 1
S2 0.1882 0.7504 0.0000 1
Cl1 0.0000 0.5000 0.5000 1
```

Principal peaks in the range 2θ = 10–90°, low angle first:
hkl 1 1 0, 2θ 15.44, d = 5.741 Å, I 29; hkl 1 2 0, 2θ 19.93, d = 4.455 Å, I 100; hkl 0 1 1, 2θ 23.31, d = 3.816 Å, I 45; hkl 1 1 1, 2θ 27.10, d = 3.291 Å, I 31; hkl 2 1 0, 2θ 28.41, d = 3.141 Å, I 18; hkl 0 3 1, 2θ 31.25, d = 2.863 Å, I 33; hkl 1 3 1, 2θ 34.24, d = 2.619 Å, I 32; hkl 2 2 1, 2θ 38.55, d = 2.335 Å, I 42; hkl 1 4 1, 2θ 39.55, d = 2.279 Å, I 18; hkl 1 5 1, 2θ 45.60, d = 1.989 Å, I 24; hkl 3 0 1, 2θ 47.69, d = 1.907 Å, I 24; hkl 1 2 2, 2θ 49.81, d = 1.831 Å, I 19